# Ni13As2
Simulated powder diffractogram, Cu Kα X-rays. Input: DFT lattice parameters and positions (GGA-PBE).
No peak broadening, texture or thermal motion is included.

Top 10 peaks for 2θ = 5–70°, in order of rising 2θ:
| d/Å | Position (°2θ) | Rel. int. |
| --- | --- | --- |
| 2.173 | 41.55 | 1 |
| 2.066 | 43.83 | 100 |
| 2.057 | 44.01 | 52 |
| 2.052 | 44.14 | 1 |
| 2.034 | 44.54 | 49 |
| 1.979 | 45.85 | 1 |
| 1.947 | 46.64 | 1 |
| 1.930 | 47.08 | 1 |
| 1.799 | 50.75 | 63 |
| 1.744 | 52.47 | 30 |

```
Ni13As2
1.0
4.3450 0.0000 0.0000
0.1484 6.2001 0.0000
0.6848 2.2433 6.2875
Ni As
13 2
Cartesian
0.0000 0.0000 0.0000 Ni
0.8112 2.0860 1.2710 Ni
1.4871 4.3397 5.0817 Ni
1.5365 4.1729 2.4933 Ni
2.2229 6.3688 6.2754 Ni
2.1420 6.3584 3.7639 Ni
2.3063 6.2180 1.2325 Ni
2.8719 2.2254 5.0550 Ni
3.0361 2.0850 2.5236 Ni
2.9553 2.0746 0.0121 Ni
3.6416 4.2705 3.7942 Ni
3.6910 4.1037 1.2058 Ni
4.3670 6.3574 5.0165 Ni
0.7935 2.3577 3.8587 As
4.3847 6.0857 2.4288 As
```